For Li2AlCd2, a cell relaxed with PBE gives the theoretical powder diffraction line list in this record (Cu Ka).
No peak broadening, texture or thermal motion is included.

Main lines, by angle (10° ≤ 2θ ≤ 90°):
d/Å	I (rel.)
4.010	100
3.205	20
2.353	41
2.341	60
2.331	20
2.196	12
2.016	10
1.898	9
1.884	17
1.652	13
1.356	13
1.350	13

Crystal structure
a b c (Å): 4.683 4.683 9.966
angles (deg): 103.17 103.17 59.72
Fractional coordinates of all 10 atoms:
Li1 0.054 0.054 0.158
Li2 0.152 0.152 0.453
Li3 0.848 0.848 0.547
Li4 0.946 0.946 0.842
Al1 0.247 0.247 0.746
Al2 0.753 0.753 0.254
Cd1 0.349 0.349 0.048
Cd2 0.452 0.452 0.350
Cd3 0.548 0.548 0.650
Cd4 0.651 0.651 0.952